This entry pairs a crystal structure of CsBeNb with its simulated XRD peak list. Radiation: Cu Kα X-rays. Structure: DFT lattice parameters and positions (GGA-PBE).
Lines closer than 0.1° are merged.

Most intense lines, 2θ = 15–90°, most intense first:
- 2θ = 26.41°, I 100, hkl 0 1 1
- 2θ = 37.82°, I 65, hkl 0 1 4
- 2θ = 20.52°, I 64, hkl 0 0 3
- 2θ = 37.42°, I 49, hkl 1 1 2
- 2θ = 24.01°, I 44, hkl 1 0 1
- 2θ = 26.55°, I 42, hkl 1 0 -2
- 2θ = 37.13°, I 41, hkl 1 1 -2
- 2θ = 23.80°, I 35, hkl 1 0 -1
- 2θ = 34.53°, I 35, hkl 0 0 5
- 2θ = 26.93°, I 31, hkl 1 0 2

Structure:
a b c (Å): 3.8858 3.4951 12.9886
angles (deg): 90.00 90.92 90.00
Fractional coordinates of all 6 atoms:
Cs1 0.0122 0.0000 0.3122
Cs2 0.9878 0.5000 0.6878
Be1 0.0028 0.4924 0.0509
Be2 0.9972 0.9924 0.9491
Nb1 0.4959 0.4927 0.9228
Nb2 0.5041 0.9927 0.0772